[1]
This entry pairs a crystal structure of LiZnGeO4 with its theoretical PXRD pattern. Radiation: Cu Kα (λ = 1.5418 Å). Structure: a structure optimized by DFT (GGA-PBE).
Kinematic intensities with the Lorentz-polarization factor, no thermal factor.

Largest 12 diffraction maxima, low angle first, 2θ = 10–90°:
2θ/deg	Rel. int.
21.80	100.0
33.99	70.4
35.18	19.4
39.70	7.5
45.74	19.4
54.07	16.2
56.83	22.2
57.39	10.8
67.38	8.3
68.40	15.8
68.62	7.3
76.30	6.6

Crystal structure
Lattice parameters (Å, degrees): 5.630 5.630 5.630 132.43 132.43 69.55
Element x y z (fractional)
Li: 0.000 0.000 0.000
Zn: 0.250 0.750 0.500
Ge: 0.500 0.500 0.000
O: 0.193 0.652 0.058
O: 0.348 0.405 0.541
O: 0.595 0.135 0.942
O: 0.865 0.807 0.459



[2]
This entry pairs a crystal structure of Li2Zn3Ge6O16 with its theoretical PXRD pattern. Radiation: Cu Kα (λ = 1.5418 Å). Structure: a structure optimized by DFT (GGA-PBE).
Kinematic intensities with the Lorentz-polarization factor, no thermal factor.

Largest 12 diffraction maxima, low angle first, 2θ = 10–90°:
2θ/deg	Rel. int.
15.04	22.6
18.44	16.3
23.88	31.1
26.18	15.4
30.34	27.0
35.73	100.0
37.38	10.4
43.43	21.4
57.45	30.2
57.51	8.5
62.98	7.8
63.13	37.7

Crystal structure
Lattice parameters (Å, degrees): 8.335 8.328 8.338 90.00 90.17 90.00
Element x y z (fractional)
Li: 0.123 0.000 0.124
Li: 0.248 0.628 0.001
Li: 0.752 0.128 0.999
Li: 0.877 0.500 0.876
Zn: 0.002 0.873 0.754
Zn: 0.253 0.124 0.496
Zn: 0.497 0.877 0.251
Zn: 0.503 0.377 0.749
Zn: 0.747 0.624 0.504
Zn: 0.998 0.373 0.246
Ge: 0.122 0.255 0.876
Ge: 0.127 0.753 0.374
Ge: 0.131 0.506 0.630
Ge: 0.374 0.994 0.873
Ge: 0.379 0.501 0.376
Ge: 0.382 0.252 0.127
Ge: 0.618 0.752 0.873
Ge: 0.621 0.001 0.624
Ge: 0.626 0.494 0.127
Ge: 0.869 0.006 0.370
Ge: 0.873 0.253 0.626
Ge: 0.878 0.755 0.124
O: 0.098 0.745 0.146
O: 0.106 0.976 0.380
O: 0.111 0.726 0.603
O: 0.115 0.263 0.636
O: 0.132 0.483 0.850
O: 0.135 0.513 0.388
O: 0.144 0.255 0.099
O: 0.150 0.019 0.870
O: 0.348 0.730 0.362
O: 0.356 0.487 0.597
O: 0.360 0.272 0.348
O: 0.361 0.238 0.887
O: 0.378 0.027 0.108
O: 0.388 0.489 0.138
O: 0.395 0.776 0.893
O: 0.400 0.015 0.645
O: 0.600 0.515 0.355
O: 0.605 0.276 0.107
O: 0.612 0.989 0.862
O: 0.622 0.527 0.892
O: 0.639 0.738 0.113
O: 0.640 0.772 0.652
O: 0.644 0.987 0.403
O: 0.652 0.230 0.638
O: 0.850 0.519 0.130
O: 0.856 0.755 0.901
O: 0.865 0.013 0.612
O: 0.868 0.983 0.150
O: 0.885 0.763 0.364
O: 0.889 0.226 0.397
O: 0.894 0.476 0.620
O: 0.902 0.245 0.854



[3]
This entry pairs a crystal structure of Li3Zn3Ge6O16 with its theoretical PXRD pattern. Radiation: Cu Kα (λ = 1.5418 Å). Structure: a structure optimized by DFT (GGA-PBE).
Kinematic intensities with the Lorentz-polarization factor, no thermal factor.

Largest 12 diffraction maxima, low angle first, 2θ = 10–90°:
2θ/deg	Rel. int.
14.90	19.5
18.28	17.4
23.67	27.7
25.96	14.1
30.07	27.3
35.41	100.0
37.05	10.4
43.04	22.3
56.92	39.6
62.50	46.8
73.94	11.0
89.56	16.5

Crystal structure
Lattice parameters (Å, degrees): 8.406 8.405 8.408 90.00 90.06 90.00
Element x y z (fractional)
Li: 0.123 0.000 0.123
Li: 0.249 0.627 0.000
Li: 0.373 0.750 0.628
Li: 0.627 0.250 0.372
Li: 0.751 0.127 0.000
Li: 0.877 0.500 0.877
Zn: 0.002 0.874 0.754
Zn: 0.252 0.123 0.496
Zn: 0.498 0.878 0.251
Zn: 0.502 0.378 0.749
Zn: 0.748 0.623 0.504
Zn: 0.998 0.374 0.246
Ge: 0.121 0.254 0.878
Ge: 0.127 0.504 0.631
Ge: 0.127 0.753 0.371
Ge: 0.374 0.995 0.876
Ge: 0.378 0.501 0.374
Ge: 0.379 0.251 0.126
Ge: 0.621 0.751 0.874
Ge: 0.622 0.001 0.626
Ge: 0.626 0.495 0.124
Ge: 0.873 0.004 0.369
Ge: 0.873 0.253 0.629
Ge: 0.879 0.754 0.122
O: 0.100 0.746 0.146
O: 0.106 0.978 0.379
O: 0.114 0.262 0.635
O: 0.122 0.728 0.606
O: 0.130 0.480 0.852
O: 0.138 0.513 0.388
O: 0.145 0.254 0.102
O: 0.149 0.020 0.871
O: 0.352 0.733 0.372
O: 0.357 0.498 0.601
O: 0.363 0.238 0.887
O: 0.372 0.269 0.352
O: 0.378 0.025 0.106
O: 0.388 0.488 0.139
O: 0.394 0.774 0.880
O: 0.397 0.004 0.643
O: 0.603 0.504 0.357
O: 0.606 0.274 0.120
O: 0.612 0.988 0.861
O: 0.622 0.525 0.894
O: 0.628 0.769 0.648
O: 0.637 0.738 0.113
O: 0.643 0.998 0.399
O: 0.648 0.233 0.628
O: 0.851 0.520 0.129
O: 0.855 0.754 0.898
O: 0.862 0.013 0.612
O: 0.870 0.980 0.148
O: 0.878 0.228 0.394
O: 0.886 0.762 0.365
O: 0.894 0.478 0.621
O: 0.900 0.246 0.854



[4]
This entry pairs a crystal structure of LiSmGe2Os with its theoretical PXRD pattern. Radiation: Cu Kα (λ = 1.5418 Å). Structure: a structure optimized by DFT (GGA-PBE).
Kinematic intensities with the Lorentz-polarization factor, no thermal factor.

Largest 12 diffraction maxima, low angle first, 2θ = 10–90°:
2θ/deg	Rel. int.
22.83	86.8
33.43	96.0
34.76	100.0
43.10	58.0
48.67	32.7
49.32	22.8
55.62	45.0
61.76	20.0
62.59	19.1
67.01	25.0
73.63	22.9
88.09	15.3

Crystal structure
Lattice parameters (Å, degrees): 6.009 6.009 6.009 139.11 139.11 59.21
Element x y z (fractional)
Li: 0.000 0.000 0.000
Sm: 0.750 0.250 0.500
Ge: 0.124 0.624 0.500
Ge: 0.376 0.876 0.500
Os: 0.500 0.500 0.000



[5]
This entry pairs a crystal structure of Li5GeP3 with its theoretical PXRD pattern. Radiation: Cu Kα (λ = 1.5418 Å). Structure: a structure optimized by DFT (GGA-PBE).
Kinematic intensities with the Lorentz-polarization factor, no thermal factor.

Largest 12 diffraction maxima, low angle first, 2θ = 10–90°:
2θ/deg	Rel. int.
14.42	77.7
16.52	20.6
18.44	79.2
21.08	53.2
21.81	71.4
25.46	100.0
25.68	29.3
26.40	29.9
41.82	19.0
42.96	84.3
44.24	29.1
51.07	28.2

Crystal structure
Lattice parameters (Å, degrees): 7.154 7.154 8.640 107.37 107.37 49.29
Element x y z (fractional)
Li: 0.081 0.592 0.685
Li: 0.089 0.564 0.192
Li: 0.220 0.780 0.500
Li: 0.402 0.909 0.846
Li: 0.436 0.912 0.360
Li: 0.564 0.089 0.692
Li: 0.592 0.081 0.185
Li: 0.780 0.220 0.000
Li: 0.909 0.402 0.346
Li: 0.912 0.436 0.860
Ge: 0.314 0.685 0.068
Ge: 0.685 0.314 0.568
P: 0.024 0.972 0.238
P: 0.330 0.348 0.941
P: 0.348 0.330 0.441
P: 0.649 0.671 0.096
P: 0.671 0.649 0.596
P: 0.972 0.024 0.738



[6]
This entry pairs a crystal structure of Li2GePPt6 with its theoretical PXRD pattern. Radiation: Cu Kα (λ = 1.5418 Å). Structure: a structure optimized by DFT (GGA-PBE).
Kinematic intensities with the Lorentz-polarization factor, no thermal factor.

Largest 12 diffraction maxima, low angle first, 2θ = 10–90°:
2θ/deg	Rel. int.
11.35	69.5
19.42	57.1
20.88	49.5
22.81	71.7
27.82	30.5
31.11	49.3
35.03	34.6
38.28	100.0
39.43	47.6
42.49	54.9
45.03	82.6
51.57	49.4

Crystal structure
Lattice parameters (Å, degrees): 5.641 8.511 7.797 90.00 90.00 90.00
Element x y z (fractional)
Li: 0.250 0.018 0.222
Li: 0.250 0.482 0.222
Li: 0.750 0.518 0.778
Li: 0.750 0.982 0.778
Ge: 0.250 0.750 0.780
Ge: 0.750 0.250 0.220
P: 0.250 0.250 0.742
P: 0.750 0.750 0.258
Pt: 0.007 0.750 0.498
Pt: 0.017 0.750 0.046
Pt: 0.250 0.000 0.613
Pt: 0.250 0.500 0.613
Pt: 0.483 0.750 0.046
Pt: 0.493 0.750 0.498
Pt: 0.507 0.250 0.502
Pt: 0.517 0.250 0.954
Pt: 0.750 0.000 0.387
Pt: 0.750 0.500 0.387
Pt: 0.983 0.250 0.954
Pt: 0.993 0.250 0.502



[7]
This entry pairs a crystal structure of RbLiGeP2 with its theoretical PXRD pattern. Radiation: Cu Kα (λ = 1.5418 Å). Structure: a structure optimized by DFT (GGA-PBE).
Kinematic intensities with the Lorentz-polarization factor, no thermal factor.

Largest 12 diffraction maxima, low angle first, 2θ = 10–90°:
2θ/deg	Rel. int.
18.46	21.8
24.74	25.3
24.94	100.0
27.50	61.1
29.03	26.4
30.66	44.7
35.91	29.0
37.66	29.2
37.77	29.2
46.02	23.3
48.26	30.0
54.60	26.3

Crystal structure
Lattice parameters (Å, degrees): 6.870 6.870 9.739 98.80 98.80 33.36
Element x y z (fractional)
Rb: 0.147 0.147 0.159
Rb: 0.853 0.853 0.841
Li: 0.189 0.189 0.566
Li: 0.811 0.811 0.434
Ge: 0.444 0.444 0.343
Ge: 0.556 0.556 0.657
P: 0.116 0.116 0.795
P: 0.381 0.381 0.560
P: 0.619 0.619 0.440
P: 0.884 0.884 0.205



[8]
This entry pairs a crystal structure of Li10GeP2S12 with its theoretical PXRD pattern. Radiation: Cu Kα (λ = 1.5418 Å). Structure: a structure optimized by DFT (GGA-PBE).
Kinematic intensities with the Lorentz-polarization factor, no thermal factor.

Largest 12 diffraction maxima, low angle first, 2θ = 10–90°:
2θ/deg	Rel. int.
12.23	28.8
14.21	41.2
17.22	16.9
19.97	56.2
20.15	29.0
23.63	28.7
26.62	35.0
29.27	100.0
36.36	13.7
40.58	13.9
40.95	33.3
46.92	39.1

Crystal structure
Lattice parameters (Å, degrees): 8.815 8.815 12.687 90.00 90.00 90.00
Element x y z (fractional)
Li: 0.000 0.000 0.000
Li: 0.000 0.000 0.500
Li: 0.221 0.244 0.492
Li: 0.221 0.756 0.492
Li: 0.228 0.268 0.749
Li: 0.228 0.732 0.749
Li: 0.244 0.221 0.992
Li: 0.244 0.779 0.992
Li: 0.268 0.228 0.249
Li: 0.268 0.772 0.249
Li: 0.500 0.500 0.390
Li: 0.500 0.500 0.890
Li: 0.732 0.228 0.249
Li: 0.732 0.772 0.249
Li: 0.756 0.221 0.992
Li: 0.756 0.779 0.992
Li: 0.772 0.268 0.749
Li: 0.772 0.732 0.749
Li: 0.779 0.244 0.492
Li: 0.779 0.756 0.492
Ge: 0.000 0.000 0.253
Ge: 0.000 0.000 0.753
P: 0.000 0.500 0.954
P: 0.500 0.000 0.454
P: 0.500 0.500 0.136
P: 0.500 0.500 0.636
S: 0.000 0.207 0.650
S: 0.000 0.209 0.355
S: 0.000 0.311 0.047
S: 0.000 0.689 0.047
S: 0.000 0.791 0.355
S: 0.000 0.793 0.650
S: 0.194 0.500 0.862
S: 0.207 0.000 0.150
S: 0.209 0.000 0.855
S: 0.306 0.500 0.544
S: 0.309 0.500 0.227
S: 0.311 0.000 0.547
S: 0.500 0.194 0.362
S: 0.500 0.306 0.044
S: 0.500 0.309 0.727
S: 0.500 0.691 0.727
S: 0.500 0.694 0.044
S: 0.500 0.806 0.362
S: 0.689 0.000 0.547
S: 0.691 0.500 0.227
S: 0.694 0.500 0.544
S: 0.791 0.000 0.855
S: 0.793 0.000 0.150
S: 0.806 0.500 0.862



[9]
This entry pairs a crystal structure of Li10GeP2S12 with its theoretical PXRD pattern. Radiation: Cu Kα (λ = 1.5418 Å). Structure: a structure optimized by DFT (GGA-PBE).
Kinematic intensities with the Lorentz-polarization factor, no thermal factor.

Largest 12 diffraction maxima, low angle first, 2θ = 10–90°:
2θ/deg	Rel. int.
12.23	53.6
14.30	68.8
19.59	47.8
20.15	24.3
20.41	24.6
23.74	31.1
26.48	21.8
28.46	36.3
28.92	54.0
29.14	100.0
40.95	22.7
41.51	36.5

Crystal structure
Lattice parameters (Å, degrees): 8.703 8.818 13.067 91.38 90.31 90.23
Element x y z (fractional)
Li: 0.000 0.000 0.000
Li: 0.000 0.467 0.052
Li: 0.015 0.984 0.392
Li: 0.030 0.468 0.335
Li: 0.223 0.753 0.131
Li: 0.232 0.768 0.655
Li: 0.450 0.504 0.622
Li: 0.465 0.067 0.451
Li: 0.483 0.000 0.953
Li: 0.483 0.473 0.065
Li: 0.491 0.006 0.704
Li: 0.492 0.467 0.361
Li: 0.495 0.975 0.193
Li: 0.501 0.535 0.858
Li: 0.721 0.767 0.459
Li: 0.738 0.251 0.750
Li: 0.763 0.217 0.250
Li: 0.979 0.506 0.562
Li: 0.988 0.516 0.838
Li: 0.991 0.010 0.717
Ge: 0.244 0.738 0.885
Ge: 0.756 0.240 0.516
P: 0.244 0.219 0.202
P: 0.255 0.735 0.389
P: 0.736 0.761 0.697
P: 0.738 0.255 0.012
S: 0.031 0.718 0.977
S: 0.052 0.202 0.290
S: 0.066 0.743 0.294
S: 0.239 0.425 0.135
S: 0.240 0.916 0.491
S: 0.248 0.532 0.466
S: 0.249 0.959 0.803
S: 0.250 0.544 0.769
S: 0.259 0.041 0.097
S: 0.443 0.208 0.290
S: 0.447 0.725 0.991
S: 0.457 0.737 0.306
S: 0.533 0.238 0.603
S: 0.544 0.771 0.604
S: 0.545 0.276 0.921
S: 0.733 0.047 0.080
S: 0.734 0.558 0.770
S: 0.735 0.943 0.798
S: 0.743 0.043 0.404
S: 0.744 0.428 0.121
S: 0.768 0.452 0.422
S: 0.928 0.778 0.606
S: 0.934 0.261 0.924
S: 0.956 0.246 0.623